Ba2Cd3Bi4: computed XRD peak list (Cu Kα (weighted mean of Kα1 and Kα2)), based on a cell relaxed with GGA-PBE.
Neutral-atom scattering factors, no anomalous dispersion.

Atomic structure:
```
data_Ba2Cd3Bi4
_cell_length_a 7.1121
_cell_length_b 17.7697
_cell_length_c 9.4325
_cell_angle_alpha 90.00
_cell_angle_beta 90.00
_cell_angle_gamma 90.00
_space_group_name_H-M_alt 'C m c e'
_space_group_IT_number 64
_space_group_name_Hall '-C 2ac 2'
loop_
_atom_site_label
_atom_site_type_symbol
_atom_site_fract_x
_atom_site_fract_y
_atom_site_fract_z
Ba1 Ba 0.0000 0.1164 0.0775
Cd1 Cd 0.0000 0.0000 0.5000
Cd2 Cd 0.2500 0.2216 0.7500
Bi1 Bi 0.0000 0.1853 0.4487
Bi2 Bi 0.2500 0.0526 0.7500
```

The 8 most intense peaks (2θ from 15° to 90°), sorted by position:
d_spacing  I_rel  (hkl)
3.116  48.5  2 2 1
3.013  65.4  1 5 1
2.964  49.7  0 2 3
2.839  100.0  2 0 2
2.826  23.2  0 6 1
2.212  18.9  2 6 1
2.082  21.1  2 4 3
1.638  23.5  2 2 5

KBaCeBiO6: computed XRD peak list (Cu Kα (weighted mean of Kα1 and Kα2)), based on a cell relaxed with GGA-PBE.
Neutral-atom scattering factors, no anomalous dispersion.

Atomic structure:
```
data_KBaCeBiO6
_cell_length_a 8.7280
_cell_length_b 8.7280
_cell_length_c 8.7280
_cell_angle_alpha 90.00
_cell_angle_beta 90.00
_cell_angle_gamma 90.00
_space_group_name_H-M_alt 'F -4 3 m'
_space_group_IT_number 216
_space_group_name_Hall 'F -4 2 3'
loop_
_atom_site_label
_atom_site_type_symbol
_atom_site_fract_x
_atom_site_fract_y
_atom_site_fract_z
K1 K 0.0000 0.0000 0.0000
Ba1 Ba 0.0000 0.0000 0.5000
Ce1 Ce 0.2500 0.2500 0.7500
Bi1 Bi 0.2500 0.2500 0.2500
O1 O 0.0047 0.2500 0.2500
```

The 8 most intense peaks (2θ from 15° to 90°), sorted by position:
d_spacing  I_rel  (hkl)
5.039  11.6  1 1 1
4.364  21.4  2 0 0
3.086  100.0  2 2 0
2.182  30.6  4 0 0
1.782  41.7  4 2 2
1.543  19.4  4 4 0
1.380  18.4  6 2 0
1.166  22.0  6 4 2

KBaCeBiO6: computed XRD peak list (Cu Kα (weighted mean of Kα1 and Kα2)), based on a cell relaxed with GGA-PBE.
Neutral-atom scattering factors, no anomalous dispersion.

Atomic structure:
```
data_KBaCeBiO6
_cell_length_a 8.7108
_cell_length_b 8.7208
_cell_length_c 8.7345
_cell_angle_alpha 90.00
_cell_angle_beta 90.00
_cell_angle_gamma 90.00
_space_group_name_H-M_alt 'P n n n'
_space_group_IT_number 48
loop_
_space_group_symop_operation_xyz
'x,y,z'
'-x,-y,-z'
'-x+1/2,-y+1/2,z'
'x+1/2,y+1/2,-z'
'x,-y+1/2,-z+1/2'
'-x,y+1/2,z+1/2'
'-x+1/2,y,-z+1/2'
'x+1/2,-y,z+1/2'
loop_
_atom_site_label
_atom_site_type_symbol
_atom_site_fract_x
_atom_site_fract_y
_atom_site_fract_z
K1 K 0.2500 0.2500 0.2500
K2 K 0.2500 0.7500 0.2500
Ba1 Ba 0.2500 0.2500 0.7500
Ba2 Ba 0.2500 0.7500 0.7500
Ce1 Ce 0.0000 0.0000 0.0000
Bi1 Bi 0.0000 0.0000 0.5000
O1 O 0.0161 0.2449 0.4854
O2 O 0.0245 0.0130 0.7447
O3 O 0.2451 0.5177 0.0063
```

The 8 most intense peaks (2θ from 15° to 90°), sorted by position:
d_spacing  I_rel  (hkl)
4.361  21.1  0 0 2
3.084  100.0  2 0 2
2.182  20.2  0 0 4
2.178  9.9  4 0 0
1.780  42.5  4 2 2
1.542  18.9  0 4 4
1.166  11.2  4 2 6
1.165  11.1  6 4 2

Ba2CeBiO6: computed XRD peak list (Cu Kα (weighted mean of Kα1 and Kα2)), based on a cell relaxed with GGA-PBE.
Neutral-atom scattering factors, no anomalous dispersion.

Atomic structure:
```
data_Ba2CeBiO6
_cell_length_a 6.2766
_cell_length_b 6.2618
_cell_length_c 10.8415
_cell_angle_alpha 90.00
_cell_angle_beta 125.37
_cell_angle_gamma 90.00
_space_group_name_H-M_alt 'P 1 21/c 1'
_space_group_IT_number 14
loop_
_space_group_symop_operation_xyz
'x,y,z'
'-x,-y,-z'
'-x,y+1/2,-z+1/2'
'x,-y+1/2,z+1/2'
loop_
_atom_site_label
_atom_site_type_symbol
_atom_site_fract_x
_atom_site_fract_y
_atom_site_fract_z
Ba1 Ba 0.2444 0.0208 0.2501
Ce1 Ce 0.0000 0.0000 0.5000
Bi1 Bi 0.5000 0.0000 0.0000
O1 O 0.1829 0.2246 0.9610
O2 O 0.2367 0.7216 0.9617
O3 O 0.3193 0.0116 0.7486
```

The 8 most intense peaks (2θ from 15° to 90°), sorted by position:
d_spacing  I_rel  (hkl)
3.132  100.0  1 1 1
2.217  18.0  2 2 -2
2.210  8.9  0 0 4
1.809  32.8  3 1 -5
1.806  11.3  0 2 4
1.565  13.7  2 2 2
1.402  8.9  3 3 -1
1.183  11.0  3 1 -9

Ba2CeBiO6: computed XRD peak list (Cu Kα (weighted mean of Kα1 and Kα2)), based on a cell relaxed with GGA-PBE.
Neutral-atom scattering factors, no anomalous dispersion.

Atomic structure:
```
data_Ba2CeBiO6
_cell_length_a 8.8814
_cell_length_b 8.8814
_cell_length_c 8.8814
_cell_angle_alpha 90.00
_cell_angle_beta 90.00
_cell_angle_gamma 90.00
_space_group_name_H-M_alt 'P n -3'
_space_group_IT_number 201
loop_
_space_group_symop_operation_xyz
'x,y,z'
'-x,-y,-z'
'-x+1/2,-y+1/2,z'
'x+1/2,y+1/2,-z'
'x,-y+1/2,-z+1/2'
'-x,y+1/2,z+1/2'
'-x+1/2,y,-z+1/2'
'x+1/2,-y,z+1/2'
'z,x,y'
'-z,-x,-y'
'z,-x+1/2,-y+1/2'
'-z,x+1/2,y+1/2'
'-z+1/2,x,-y+1/2'
'z+1/2,-x,y+1/2'
'-z+1/2,-x+1/2,y'
'z+1/2,x+1/2,-y'
'y,z,x'
'-y,-z,-x'
'-y+1/2,z,-x+1/2'
'y+1/2,-z,x+1/2'
'-y+1/2,-z+1/2,x'
'y+1/2,z+1/2,-x'
'y,-z+1/2,-x+1/2'
'-y,z+1/2,x+1/2'
loop_
_atom_site_label
_atom_site_type_symbol
_atom_site_fract_x
_atom_site_fract_y
_atom_site_fract_z
Ba1 Ba 0.2500 0.2500 0.2500
Ba2 Ba 0.2500 0.2500 0.7500
Ce1 Ce 0.0000 0.0000 0.0000
Bi1 Bi 0.0000 0.0000 0.5000
O1 O 0.0247 0.5283 0.7485
```

The 8 most intense peaks (2θ from 15° to 90°), sorted by position:
d_spacing  I_rel  (hkl)
4.441  4.5  2 0 0
3.140  100.0  2 2 0
2.220  27.8  4 0 0
1.813  44.1  4 2 2
1.570  17.6  4 4 0
1.404  18.8  6 2 0
1.282  5.8  4 4 4
1.187  22.9  6 2 4

Ba2CeBiO6: computed XRD peak list (Cu Kα (weighted mean of Kα1 and Kα2)), based on a cell relaxed with GGA-PBE.
Neutral-atom scattering factors, no anomalous dispersion.

Atomic structure:
```
data_Ba2CeBiO6
_cell_length_a 8.9039
_cell_length_b 8.9039
_cell_length_c 8.9039
_cell_angle_alpha 90.00
_cell_angle_beta 90.00
_cell_angle_gamma 90.00
_space_group_name_H-M_alt 'F m -3 m'
_space_group_IT_number 225
_space_group_name_Hall '-F 4 2 3'
loop_
_atom_site_label
_atom_site_type_symbol
_atom_site_fract_x
_atom_site_fract_y
_atom_site_fract_z
Ba1 Ba 0.2500 0.2500 0.2500
Ce1 Ce 0.0000 0.0000 0.0000
Bi1 Bi 0.0000 0.0000 0.5000
O1 O 0.0000 0.0000 0.2491
```

The 8 most intense peaks (2θ from 15° to 90°), sorted by position:
d_spacing  I_rel  (hkl)
4.452  4.8  2 0 0
3.148  100.0  2 2 0
2.226  29.0  4 0 0
1.817  42.4  4 2 2
1.574  18.8  4 4 0
1.408  18.8  6 2 0
1.285  6.3  4 4 4
1.190  22.3  6 4 2

Ba2ZnCuBi2F14: computed XRD peak list (Cu Kα (weighted mean of Kα1 and Kα2)), based on a cell relaxed with GGA-PBE.
Neutral-atom scattering factors, no anomalous dispersion.

Atomic structure:
```
data_Ba2ZnCuBi2F14
_cell_length_a 14.5815
_cell_length_b 5.3706
_cell_length_c 16.1834
_cell_angle_alpha 90.00
_cell_angle_beta 90.06
_cell_angle_gamma 90.00
_space_group_name_H-M_alt 'C 1 2/c 1'
_space_group_IT_number 15
loop_
_space_group_symop_operation_xyz
'x,y,z'
'-x,-y,-z'
'-x,y,-z+1/2'
'x,-y,z+1/2'
'x+1/2,y+1/2,z'
'-x+1/2,-y+1/2,-z'
'-x+1/2,y+1/2,-z+1/2'
'x+1/2,-y+1/2,z+1/2'
loop_
_atom_site_label
_atom_site_type_symbol
_atom_site_fract_x
_atom_site_fract_y
_atom_site_fract_z
Ba1 Ba 0.1811 0.0977 0.1261
Zn1 Zn 0.0000 0.4384 0.7500
Cu1 Cu 0.0000 0.5000 0.0000
Bi1 Bi 0.1083 0.0510 0.3771
F1 F 0.0216 0.1577 0.6728
F2 F 0.0243 0.3659 0.1068
F3 F 0.0766 0.2039 0.5142
F4 F 0.1050 0.3327 0.2625
F5 F 0.1467 0.2797 0.9539
F6 F 0.1792 0.1722 0.7806
F7 F 0.2464 0.3535 0.5983
```

The 8 most intense peaks (2θ from 15° to 90°), sorted by position:
d_spacing  I_rel  (hkl)
5.416  29.5  2 0 2
5.040  35.6  1 1 0
4.046  41.9  0 0 4
3.604  72.9  3 1 0
3.292  59.9  3 1 -2
3.155  100.0  1 1 -4
2.405  28.5  0 2 3
1.888  32.9  7 1 2

BaYMgCuBiO5: computed XRD peak list (Cu Kα (weighted mean of Kα1 and Kα2)), based on a cell relaxed with GGA-PBE.
Neutral-atom scattering factors, no anomalous dispersion.

Atomic structure:
```
data_BaYMgCuBiO5
_cell_length_a 3.8911
_cell_length_b 3.8911
_cell_length_c 11.9402
_cell_angle_alpha 90.00
_cell_angle_beta 90.00
_cell_angle_gamma 90.00
_space_group_name_H-M_alt 'P 4 m m'
_space_group_IT_number 99
loop_
_space_group_symop_operation_xyz
'x,y,z'
'-y,x,z'
'-x,-y,z'
'y,-x,z'
'-x,y,z'
'y,x,z'
'x,-y,z'
'-y,-x,z'
loop_
_atom_site_label
_atom_site_type_symbol
_atom_site_fract_x
_atom_site_fract_y
_atom_site_fract_z
Ba1 Ba 0.0000 0.0000 0.0000
Y1 Y 0.0000 0.0000 0.3130
Mg1 Mg 0.5000 0.5000 0.4446
Cu1 Cu 0.5000 0.5000 0.1660
Bi1 Bi 0.5000 0.5000 0.7473
O1 O 0.0000 0.5000 0.1639
O2 O 0.0000 0.5000 0.4095
O3 O 0.5000 0.5000 0.9234
```

The 8 most intense peaks (2θ from 15° to 90°), sorted by position:
d_spacing  I_rel  (hkl)
3.700  84.3  1 0 1
3.260  92.6  1 0 2
2.782  100.0  1 0 3
2.751  76.2  1 1 0
2.023  32.4  1 1 4
1.946  44.5  2 0 0
1.671  27.9  2 1 2
1.594  37.4  2 1 3

Ba11Cu4Bi9O29: computed XRD peak list (Cu Kα (weighted mean of Kα1 and Kα2)), based on a cell relaxed with GGA-PBE.
Neutral-atom scattering factors, no anomalous dispersion.

Atomic structure:
```
data_Ba11Cu4Bi9O29
_cell_length_a 28.5429
_cell_length_b 5.2953
_cell_length_c 12.7103
_cell_angle_alpha 90.00
_cell_angle_beta 90.98
_cell_angle_gamma 90.00
_space_group_name_H-M_alt 'C 1 m 1'
_space_group_IT_number 8
loop_
_space_group_symop_operation_xyz
'x,y,z'
'x,-y,z'
'x+1/2,y+1/2,z'
'x+1/2,-y+1/2,z'
loop_
_atom_site_label
_atom_site_type_symbol
_atom_site_fract_x
_atom_site_fract_y
_atom_site_fract_z
Ba1 Ba 0.0000 0.0000 0.0000
Ba2 Ba 0.0164 0.5000 0.2475
Ba3 Ba 0.0538 0.0000 0.4688
Ba4 Ba 0.0910 0.5000 0.6830
Ba5 Ba 0.1291 0.0000 0.8807
Ba6 Ba 0.1738 0.5000 0.0720
Ba7 Ba 0.2355 0.0000 0.2927
Ba8 Ba 0.3323 0.5000 0.1811
Ba9 Ba 0.3889 0.0000 0.3865
Ba10 Ba 0.4261 0.5000 0.5777
Ba11 Ba 0.4642 0.0000 0.7820
Cu1 Cu 0.0274 0.0000 0.7342
Cu2 Cu 0.0622 0.5000 0.9458
Cu3 Cu 0.4545 0.5000 0.3140
Cu4 Cu 0.4932 0.0000 0.5230
Bi1 Bi 0.1054 0.0000 0.1716
Bi2 Bi 0.1493 0.5000 0.4044
Bi3 Bi 0.1909 0.0000 0.5997
Bi4 Bi 0.2308 0.5000 0.8022
Bi5 Bi 0.2754 0.5000 0.5022
Bi6 Bi 0.2777 0.0000 0.9690
Bi7 Bi 0.3248 0.0000 0.6614
Bi8 Bi 0.3628 0.5000 0.8611
Bi9 Bi 0.4050 0.0000 0.0474
O1 O 0.0094 0.2490 0.6298
O2 O 0.0138 0.0000 0.2387
O3 O 0.0463 0.2477 0.8392
O4 O 0.0814 0.5000 0.4633
O5 O 0.0863 0.2495 0.0439
O6 O 0.1236 0.0000 0.6601
O7 O 0.1250 0.5000 0.2483
O8 O 0.1615 0.0000 0.4336
O9 O 0.1621 0.5000 0.8560
O10 O 0.1793 0.0000 0.1180
O11 O 0.2084 0.5000 0.5985
O12 O 0.2269 0.0000 0.8016
O13 O 0.2541 0.5000 0.3305
O14 O 0.2653 0.5000 0.9691
O15 O 0.2878 0.0000 0.4960
O16 O 0.3043 0.0000 0.1341
O17 O 0.3273 0.5000 0.6551
O18 O 0.3426 0.0000 0.8656
O19 O 0.3882 0.5000 0.3432
O20 O 0.3937 0.0000 0.6104
O21 O 0.3936 0.5000 0.0214
O22 O 0.4227 0.0000 0.2038
O23 O 0.4300 0.5000 0.7999
O24 O 0.4725 0.2343 0.4202
O25 O 0.4751 0.0000 0.9994
```

The 8 most intense peaks (2θ from 15° to 90°), sorted by position:
d_spacing  I_rel  (hkl)
3.292  40.2  1 1 -3
3.136  98.7  3 1 -3
3.121  100.0  7 1 1
2.883  52.3  4 0 4
2.648  54.2  0 2 0
2.620  25.9  10 0 -2
2.022  19.1  8 2 -2
1.950  32.2  4 2 4

Repeat the third record exactly.
KBaCeBiO6: computed XRD peak list (Cu Kα (weighted mean of Kα1 and Kα2)), based on a cell relaxed with GGA-PBE.
Neutral-atom scattering factors, no anomalous dispersion.

Atomic structure:
```
data_KBaCeBiO6
_cell_length_a 8.7108
_cell_length_b 8.7208
_cell_length_c 8.7345
_cell_angle_alpha 90.00
_cell_angle_beta 90.00
_cell_angle_gamma 90.00
_space_group_name_H-M_alt 'P n n n'
_space_group_IT_number 48
loop_
_space_group_symop_operation_xyz
'x,y,z'
'-x,-y,-z'
'-x+1/2,-y+1/2,z'
'x+1/2,y+1/2,-z'
'x,-y+1/2,-z+1/2'
'-x,y+1/2,z+1/2'
'-x+1/2,y,-z+1/2'
'x+1/2,-y,z+1/2'
loop_
_atom_site_label
_atom_site_type_symbol
_atom_site_fract_x
_atom_site_fract_y
_atom_site_fract_z
K1 K 0.2500 0.2500 0.2500
K2 K 0.2500 0.7500 0.2500
Ba1 Ba 0.2500 0.2500 0.7500
Ba2 Ba 0.2500 0.7500 0.7500
Ce1 Ce 0.0000 0.0000 0.0000
Bi1 Bi 0.0000 0.0000 0.5000
O1 O 0.0161 0.2449 0.4854
O2 O 0.0245 0.0130 0.7447
O3 O 0.2451 0.5177 0.0063
```

The 8 most intense peaks (2θ from 15° to 90°), sorted by position:
d_spacing  I_rel  (hkl)
4.361  21.1  0 0 2
3.084  100.0  2 0 2
2.182  20.2  0 0 4
2.178  9.9  4 0 0
1.780  42.5  4 2 2
1.542  18.9  0 4 4
1.166  11.2  4 2 6
1.165  11.1  6 4 2